Starting from a GGA-PBE-relaxed structure, the powder diffraction line list of PuPa6Ga4 was simulated for a wavelength of 1.5418 Å.
Neutral-atom scattering factors, no anomalous dispersion.

Atomic structure:
a b c (Å): 5.6752 5.6752 16.0067
angles (deg): 90.00 90.00 90.00
Space group I-42m (No. 121)
Inequivalent atoms, fractional coordinates:
Pu 0.0000 0.0000 0.0000
Pa 0.0000 0.5000 0.0000
Pa 0.1718 0.1718 0.8213
Ga 0.1682 0.1682 0.6335

Principal peaks in the range 2θ = 10–80°, low angle first:
| 2θ (°) | Rel. int. |
| --- | --- |
| 16.6 | 33 |
| 24.8 | 29 |
| 31.6 | 36 |
| 32.1 | 28 |
| 33.5 | 100 |
| 35.8 | 62 |
| 38.9 | 36 |
| 45.2 | 15 |
| 45.6 | 19 |
| 50.9 | 24 |
| 56.3 | 15 |
| 57.5 | 15 |